The following is a calculated powder diffractogram of La2TbPmHo. It was derived from a cell relaxed with GGA-PBE, using Cu Kα (weighted mean of Kα1 and Kα2).

Atomic structure:
```
data_La2TbPmHo
_cell_length_a 6.4877
_cell_length_b 7.9150
_cell_length_c 6.7922
_cell_angle_alpha 90.00
_cell_angle_beta 90.00
_cell_angle_gamma 90.00
_space_group_name_H-M_alt 'P m m a'
_space_group_IT_number 51
_space_group_name_Hall '-P 2a 2a'
loop_
_atom_site_label
_atom_site_type_symbol
_atom_site_fract_x
_atom_site_fract_y
_atom_site_fract_z
La1 La 0.2500 0.2024 0.2081
Tb1 Tb 0.2500 0.0000 0.6782
Pm1 Pm 0.2500 0.5000 0.9099
Ho1 Ho 0.0000 0.5000 0.5000
```

The 10 most intense peaks (5 to 70 degrees two-theta), low angle first:
2θ/deg	I (rel.)	(hkl)
27.50	26.9	2 0 0
28.60	43.3	0 1 2
29.53	100.0	1 2 1
29.75	20.5	2 1 0
30.54	19.9	2 0 1
31.82	37.7	1 1 2
32.62	44.7	2 1 1
38.37	24.3	2 0 2
46.33	25.5	2 3 1
49.90	23.3	3 2 1

***

The following is a calculated powder diffractogram of In2Cu2O5. It was derived from a cell relaxed with GGA-PBE, using Cu Kα (weighted mean of Kα1 and Kα2).

Atomic structure:
```
data_In2Cu2O5
_cell_length_a 13.5680
_cell_length_b 3.3475
_cell_length_c 10.7218
_cell_angle_alpha 90.00
_cell_angle_beta 113.26
_cell_angle_gamma 90.00
_space_group_name_H-M_alt 'P 1 2/c 1'
_space_group_IT_number 13
_space_group_name_Hall '-P 2yc'
loop_
_atom_site_label
_atom_site_type_symbol
_atom_site_fract_x
_atom_site_fract_y
_atom_site_fract_z
In1 In 0.1645 0.0329 0.4193
In2 In 0.3352 0.4617 0.2546
Cu1 Cu 0.0535 0.4157 0.6423
Cu2 Cu 0.4467 0.0895 0.5889
O1 O 0.0000 0.0756 0.7500
O2 O 0.0971 0.4616 0.9943
O3 O 0.1937 0.4796 0.8003
O4 O 0.3062 0.0380 0.6066
O5 O 0.4029 0.0362 0.8971
O6 O 0.5000 0.4315 0.7500
```

The 10 most intense peaks (5 to 70 degrees two-theta), low angle first:
2θ/deg	I (rel.)	(hkl)
21.87	31.1	3 0 -2
27.15	22.7	2 0 2
31.51	19.6	1 1 -2
32.34	100.0	0 1 2
33.26	81.4	5 0 -2
33.43	26.1	2 0 -4
34.40	50.8	3 1 0
45.74	28.7	4 1 -4
48.73	30.7	5 1 -4
61.46	24.5	8 1 -2

***

The following is a calculated powder diffractogram of RbMg6In6. It was derived from a cell relaxed with GGA-PBE, using Cu Kα (weighted mean of Kα1 and Kα2).

Atomic structure:
```
data_RbMg6In6
_cell_length_a 6.2264
_cell_length_b 10.1492
_cell_length_c 10.6485
_cell_angle_alpha 90.00
_cell_angle_beta 90.00
_cell_angle_gamma 90.00
_space_group_name_H-M_alt 'I m m m'
_space_group_IT_number 71
_space_group_name_Hall '-I 2 2'
loop_
_atom_site_label
_atom_site_type_symbol
_atom_site_fract_x
_atom_site_fract_y
_atom_site_fract_z
Rb1 Rb 0.0000 0.0000 0.0000
Mg1 Mg 0.0000 0.2652 0.5000
Mg2 Mg 0.2500 0.2500 0.2500
In1 In 0.0000 0.0000 0.3490
In2 In 0.0000 0.3513 0.0000
In3 In 0.0000 0.5000 0.3052
```

The 10 most intense peaks (5 to 70 degrees two-theta), low angle first:
2θ/deg	I (rel.)	(hkl)
17.48	37.4	0 2 0
28.67	57.7	2 0 0
28.96	100.0	1 0 3
33.78	40.0	2 2 0
34.02	66.1	1 2 3
34.56	47.2	1 3 2
37.86	47.3	2 2 2
39.29	40.7	0 4 2
54.28	22.7	0 6 0
62.64	23.9	1 6 3

***

The following is a calculated powder diffractogram of CsK2ZnH5. It was derived from a cell relaxed with GGA-PBE, using Cu Kα (weighted mean of Kα1 and Kα2).

Atomic structure:
```
data_CsK2ZnH5
_cell_length_a 7.7000
_cell_length_b 7.7000
_cell_length_c 11.7163
_cell_angle_alpha 90.00
_cell_angle_beta 90.00
_cell_angle_gamma 90.00
_space_group_name_H-M_alt 'I 4/m c m'
_space_group_IT_number 140
_space_group_name_Hall '-I 4 2c'
loop_
_atom_site_label
_atom_site_type_symbol
_atom_site_fract_x
_atom_site_fract_y
_atom_site_fract_z
Cs1 Cs 0.0000 0.0000 0.2500
K1 K 0.1787 0.3213 0.0000
Zn1 Zn 0.0000 0.5000 0.2500
H1 H 0.0000 0.0000 0.0000
H2 H 0.1214 0.3786 0.3378
```

The 10 most intense peaks (5 to 70 degrees two-theta), low angle first:
2θ/deg	I (rel.)	(hkl)
15.12	22.7	0 0 2
23.10	28.3	2 0 0
27.73	100.0	2 0 2
30.52	24.3	0 0 4
32.90	27.7	2 2 0
36.39	21.6	2 2 2
38.62	14.9	2 0 4
45.49	21.7	2 2 4
52.55	15.9	2 0 6
55.64	15.7	4 2 2

***

The following is a calculated powder diffractogram of AcI2. It was derived from a cell relaxed with GGA-PBE, using Cu Kα (weighted mean of Kα1 and Kα2).

Atomic structure:
```
data_AcI2
_cell_length_a 4.0604
_cell_length_b 4.0604
_cell_length_c 15.5801
_cell_angle_alpha 90.00
_cell_angle_beta 90.00
_cell_angle_gamma 90.00
_space_group_name_H-M_alt 'I 4/m m m'
_space_group_IT_number 139
_space_group_name_Hall '-I 4 2'
loop_
_atom_site_label
_atom_site_type_symbol
_atom_site_fract_x
_atom_site_fract_y
_atom_site_fract_z
Ac1 Ac 0.0000 0.0000 0.0000
I1 I 0.0000 0.0000 0.3746
```

The 10 most intense peaks (5 to 70 degrees two-theta), low angle first:
2θ/deg	I (rel.)	(hkl)
11.36	57.6	0 0 2
27.89	100.0	1 0 3
31.15	52.5	1 1 0
33.26	19.1	1 1 2
36.34	48.9	1 0 5
44.63	19.5	2 0 0
53.46	33.2	2 1 3
57.15	18.8	1 1 8
58.86	24.4	2 1 5
66.53	12.2	2 0 8

***

The following is a calculated powder diffractogram of SmErO4. It was derived from a cell relaxed with GGA-PBE, using Cu Kα (weighted mean of Kα1 and Kα2).

Atomic structure:
```
data_SmErO4
_cell_length_a 6.6982
_cell_length_b 3.8507
_cell_length_c 6.3023
_cell_angle_alpha 90.00
_cell_angle_beta 97.24
_cell_angle_gamma 90.00
_space_group_name_H-M_alt 'C 1 m 1'
_space_group_IT_number 8
_space_group_name_Hall 'C -2y'
loop_
_atom_site_label
_atom_site_type_symbol
_atom_site_fract_x
_atom_site_fract_y
_atom_site_fract_z
Sm1 Sm 0.0000 0.0000 0.0000
Er1 Er 0.1183 0.5000 0.5409
O1 O 0.1580 0.5000 0.9047
O2 O 0.2185 0.0000 0.3430
O3 O 0.3934 0.0000 0.2150
O4 O 0.4561 0.5000 0.6177
```

The 10 most intense peaks (5 to 70 degrees two-theta), low angle first:
2θ/deg	I (rel.)	(hkl)
26.81	47.2	2 0 0
28.55	45.4	0 0 2
29.57	100.0	1 1 -1
31.21	37.5	1 1 1
32.06	24.9	2 0 1
40.81	16.0	1 1 2
47.21	19.4	0 2 0
47.35	26.1	3 1 0
50.14	27.6	1 1 -3
59.14	17.6	3 1 2

***

The following is a calculated powder diffractogram of LaThAl3. It was derived from a cell relaxed with GGA-PBE, using Cu Kα (weighted mean of Kα1 and Kα2).

Atomic structure:
```
data_LaThAl3
_cell_length_a 4.3981
_cell_length_b 27.1213
_cell_length_c 4.3535
_cell_angle_alpha 90.00
_cell_angle_beta 90.00
_cell_angle_gamma 90.00
_space_group_name_H-M_alt 'C m c m'
_space_group_IT_number 63
_space_group_name_Hall '-C 2c 2'
loop_
_atom_site_label
_atom_site_type_symbol
_atom_site_fract_x
_atom_site_fract_y
_atom_site_fract_z
La1 La 0.0000 0.0736 0.2500
Th1 Th 0.0000 0.2068 0.7500
Al1 Al 0.0000 0.3263 0.7500
Al2 Al 0.0000 0.3805 0.2500
Al3 Al 0.0000 0.4759 0.2500
```

The 10 most intense peaks (5 to 70 degrees two-theta), low angle first:
2θ/deg	I (rel.)	(hkl)
6.52	61.2	0 2 0
24.30	67.1	0 4 1
29.05	25.8	1 1 1
30.54	100.0	1 3 1
30.75	67.4	1 7 0
39.13	23.1	0 10 1
41.04	20.8	2 0 0
47.13	23.3	1 11 1
48.27	23.0	2 4 1
52.52	30.5	1 7 2